This entry pairs a crystal structure of CeMgPa2Ir4 with its computed X-ray diffraction stick pattern. Radiation: Cu Kα (weighted mean of Kα1 and Kα2). Structure: the GGA-PBE geometry in Alexandria.
Kinematic intensities with the Lorentz-polarization factor, no thermal factor.

Structural model:
```
CeMgPa2Ir4
1.0
2.3366 1.3491 8.5612
-2.3366 1.3491 8.5612
0.0000 -2.6981 8.5612
Ce Mg Pa Ir
1 1 2 4
Cartesian
0.0000 0.0000 0.0000
0.0000 0.0000 12.8418
0.0000 0.0000 6.2586
0.0000 0.0000 19.4251
0.0000 0.0000 3.2528
0.0000 0.0000 10.0889
0.0000 0.0000 15.5948
0.0000 0.0000 22.4309
```

Largest 12 diffraction maxima, low angle first, 10 to 90 degrees two-theta:
2θ = 20.8°, 4.281 Å, I = 195; 2θ = 23.0°, 3.860 Å, I = 83; 2θ = 28.1°, 3.179 Å, I = 123; 2θ = 35.7°, 2.515 Å, I = 950; 2θ = 38.5°, 2.337 Å, I = 1000; 2θ = 44.2°, 2.051 Å, I = 173; 2θ = 44.8°, 2.022 Å, I = 101; 2θ = 53.5°, 1.712 Å, I = 318; 2θ = 62.2°, 1.492 Å, I = 89; 2θ = 67.9°, 1.381 Å, I = 343; 2θ = 69.7°, 1.349 Å, I = 179; 2θ = 82.6°, 1.168 Å, I = 115